[1]
Calculated powder X-ray diffraction pattern of Pr2NiO4 for CuKα, from the GGA+U geometry in the Materials Project.
Peak positions follow from Bragg's law for the DFT cell and can differ from measured ones.

Cell: 3.8815 3.8815 12.4453 Å, 90.00 90.00 90.00°
Positions (direct):
1 Pr 0.0000 0.0000 0.1357
2 Pr 0.0000 0.0000 0.8643
3 Pr 0.5000 0.5000 0.3643
4 Pr 0.5000 0.5000 0.6357
5 Ni 0.0000 0.0000 0.5000
6 Ni 0.5000 0.5000 0.0000
7 O 0.0000 0.0000 0.3221
8 O 0.0000 0.0000 0.6779
9 O 0.0000 0.5000 0.0000
10 O 0.0000 0.5000 0.5000
11 O 0.5000 0.0000 0.0000
12 O 0.5000 0.0000 0.5000
13 O 0.5000 0.5000 0.1779
14 O 0.5000 0.5000 0.8221

Peak list (10 most intense, 2θ from 10° to 90°, sorted by position)
| d (Å) | Position (°2θ) | I (rel.) |
| --- | --- | --- |
| 3.705 | 24.02 | 31 |
| 3.111 | 28.69 | 15 |
| 2.834 | 31.57 | 100 |
| 2.745 | 32.63 | 77 |
| 2.095 | 43.18 | 26 |
| 2.058 | 43.99 | 34 |
| 1.941 | 46.81 | 39 |
| 1.601 | 57.56 | 37 |
| 1.424 | 65.56 | 14 |
| 1.227 | 77.82 | 12 |



[2]
Calculated powder X-ray diffraction pattern of Li3MnCo2O6 for CuKα, from the GGA+U geometry in the Materials Project.
Peak positions follow from Bragg's law for the DFT cell and can differ from measured ones.

Cell: 6.4227 6.4227 6.0350 Å, 104.35 104.35 27.44°
Positions (direct):
1 Li 0.0000 0.0000 0.0000
2 Li 0.3312 0.3312 0.6695
3 Li 0.6688 0.6688 0.3305
4 Mn 0.0000 0.0000 0.5000
5 Co 0.3331 0.3331 0.1633
6 Co 0.6669 0.6669 0.8367
7 O 0.1589 0.1589 0.5918
8 O 0.1733 0.1733 0.0793
9 O 0.4923 0.4923 0.2567
10 O 0.5077 0.5077 0.7433
11 O 0.8267 0.8267 0.9207
12 O 0.8411 0.8411 0.4082

Peak list (10 most intense, 2θ from 10° to 90°, sorted by position)
| d (Å) | Position (°2θ) | I (rel.) |
| --- | --- | --- |
| 4.859 | 18.26 | 100 |
| 2.571 | 34.89 | 33 |
| 2.438 | 36.87 | 12 |
| 2.429 | 37.01 | 15 |
| 2.144 | 42.15 | 58 |
| 2.011 | 45.08 | 23 |
| 1.647 | 55.82 | 10 |
| 1.474 | 63.07 | 14 |
| 1.460 | 63.77 | 14 |
| 1.214 | 78.81 | 10 |



[3]
Calculated powder X-ray diffraction pattern of Sr2MgNiIrO6 for CuKα, from the GGA+U geometry in the Materials Project.
Peak positions follow from Bragg's law for the DFT cell and can differ from measured ones.

Cell: 5.6541 5.6792 5.6799 Å, 76.50 63.19 64.42°
Positions (direct):
1 Sr 0.0000 0.0000 0.0000
2 Sr 0.4397 0.7269 0.3686
3 Mg 0.6211 0.1928 0.6313
4 Ni 0.7814 0.6037 0.7643
5 Ir 0.2294 0.3413 0.1819
6 O 0.0221 0.1436 0.5079
7 O 0.4472 0.5287 0.8255
8 O 0.4699 0.0024 0.9588
9 O 0.5171 0.2197 0.3399
10 O 0.9301 0.4744 0.0301
11 O 0.9968 0.6656 0.3947

Peak list (10 most intense, 2θ from 10° to 90°, sorted by position)
| d (Å) | Position (°2θ) | I (rel.) |
| --- | --- | --- |
| 5.063 | 17.52 | 72 |
| 4.675 | 18.98 | 34 |
| 3.516 | 25.33 | 36 |
| 2.905 | 30.78 | 90 |
| 2.836 | 31.55 | 70 |
| 2.816 | 31.77 | 100 |
| 2.736 | 32.73 | 88 |
| 2.715 | 32.99 | 77 |
| 2.329 | 38.66 | 73 |
| 2.227 | 40.51 | 55 |